No. 1
Starting from the GGA-PBE geometry in OQMD, the powder diffraction line list of Hf2Al2FeNiIr2 was computed for Cu Kα, 1.54184 Å.
No peak broadening, texture or thermal motion is included.

Largest 9 diffraction maxima, most intense first, 10 to 90 degrees two-theta:
hkl  two_theta  intensity
2 0 0  41.18  100
1 0 1  24.87  45
3 1 2  75.05  34
2 1 1  48.71  23
2 2 0  59.65  17
4 0 0  89.40  11
3 0 1  65.64  10
3 2 1  80.50  8
1 1 0  28.80  1

Structure:
Cell: 4.383 4.383 6.204 Å, 90.00 90.00 90.00°
Positions (direct):
Hf: 0.000 0.500 0.250
Hf: 0.500 0.000 0.750
Al: 0.000 0.500 0.750
Al: 0.500 0.000 0.250
Fe: 0.000 0.000 0.500
Ni: 0.500 0.500 0.000
Ir: 0.000 0.000 0.000
Ir: 0.500 0.500 0.500

No. 2
Starting from the GGA-PBE geometry in OQMD, the powder diffraction line list of Hf2AlZnFe2Ir2 was computed for Cu Kα, 1.54184 Å.
No peak broadening, texture or thermal motion is included.

Largest 10 diffraction maxima, most intense first, 10 to 90 degrees two-theta:
hkl  two_theta  intensity
2 0 0  41.33  100
1 0 1  24.96  36
3 1 2  75.35  34
2 1 1  48.89  19
2 2 0  59.83  11
3 0 1  65.89  8
2 2 4  89.82  7
0 0 4  59.96  5
3 2 1  80.79  5
4 0 0  89.71  4

Structure:
Cell: 4.372 4.372 6.171 Å, 90.00 90.00 90.00°
Positions (direct):
Hf: 0.000 0.000 0.000
Hf: 0.500 0.500 0.500
Al: 0.000 0.000 0.500
Zn: 0.500 0.500 0.000
Fe: 0.000 0.500 0.252
Fe: 0.500 0.000 0.748
Ir: 0.000 0.500 0.744
Ir: 0.500 0.000 0.256

No. 3
Starting from the GGA-PBE geometry in OQMD, the powder diffraction line list of Ho2Al4FeIr was computed for Cu Kα, 1.54184 Å.
No peak broadening, texture or thermal motion is included.

Largest 10 diffraction maxima, most intense first, 10 to 90 degrees two-theta:
hkl  two_theta  intensity
1 1 3  36.88  100
2 1 1  34.48  79
2 0 0  24.95  61
0 1 1  23.42  59
1 0 4  38.02  51
3 1 3  52.18  33
0 2 0  44.13  32
1 2 4  59.63  28
1 0 0  12.40  19
2 2 0  51.36  18

Structure:
Cell: 7.138 4.104 10.035 Å, 90.00 90.00 90.00°
Positions (direct):
Ho: 0.000 0.000 0.000
Ho: 0.000 0.500 0.500
Ho: 0.500 0.000 0.130
Ho: 0.500 0.500 0.630
Al: 0.202 0.000 0.722
Al: 0.202 0.500 0.222
Al: 0.311 0.000 0.413
Al: 0.311 0.500 0.913
Al: 0.689 0.000 0.413
Al: 0.689 0.500 0.913
Al: 0.798 0.000 0.722
Al: 0.798 0.500 0.222
Fe: 0.500 0.000 0.852
Fe: 0.500 0.500 0.352
Ir: 0.000 0.000 0.281
Ir: 0.000 0.500 0.781